Entry 1:
Diffraction record for Ti3O7. The X-ray diffraction stick pattern is calculated, not measured: it uses a cell relaxed with GGA-PBE and λ = 1.5418 Å (Cu Kα).

Peak list (12 most intense, 2θ = 15–90°, by angle)
2theta	d_spacing	Rel. int.
16.0	5.547	69
24.3	3.665	100
28.9	3.087	44
29.3	3.048	35
31.6	2.830	36
35.1	2.554	44
43.2	2.095	38
45.3	2.002	16
48.4	1.881	39
52.4	1.746	22
56.7	1.623	27
66.8	1.400	16

Atomic structure:
```
20
Lattice="8.2596 -1.8813 0.0000 8.2596 1.8813 0.0000 -1.8275 0.0000 9.1433" Properties=species:S:1:pos:R:3 pbc="T T T"
Ti 1.3307 0.0000 2.9675
Ti 2.8104 0.0000 0.1886
Ti 2.3240 0.0000 6.5897
Ti 12.3677 0.0000 2.5536
Ti 11.8813 0.0000 8.9547
Ti 13.3610 0.0000 6.1757
O -0.4218 0.0000 3.4269
O 1.2101 0.0000 1.0711
O 0.7297 0.0000 7.5180
O 1.8426 0.0000 4.8138
O 3.6391 0.0000 2.2901
O 3.0929 0.0000 8.6983
O 4.4703 0.0000 6.1959
O 10.2214 0.0000 2.9474
O 11.5987 0.0000 0.4450
O 11.0525 0.0000 6.8531
O 12.8490 0.0000 4.3294
O 13.9619 0.0000 1.6252
O 13.4815 0.0000 8.0722
O 15.1134 0.0000 5.7163
```


Entry 2:
Diffraction record for CaMg6Ti. The X-ray diffraction stick pattern is calculated, not measured: it uses a cell relaxed with GGA-PBE and λ = 1.5418 Å (Cu Kα).

Peak list (12 most intense, 2θ = 15–90°, by angle)
2theta	d_spacing	Rel. int.
30.9	2.890	23
32.2	2.778	14
34.8	2.576	34
35.6	2.521	100
36.8	2.445	40
47.3	1.923	13
48.2	1.889	9
56.6	1.625	15
63.0	1.476	17
66.1	1.414	9
67.3	1.391	12
68.2	1.374	16

Atomic structure:
```
8
Lattice="5.1515 0.0000 0.0000 0.0000 3.3840 5.5569 0.0000 -3.3840 5.5569" Properties=species:S:1:pos:R:3 pbc="T T T"
Ca 0.0000 0.0000 0.0000
Mg 0.0000 -1.6876 8.2934
Mg 0.0000 1.6876 8.2934
Mg 2.5757 0.0000 3.7117
Mg 2.5757 -1.5611 6.4090
Mg 2.5757 1.5611 6.4090
Mg 2.5757 0.0000 9.1223
Ti 0.0000 0.0000 5.5861
```